For BeCl2, a crystal structure in Alexandria, relaxed with GGA-PBE gives the theoretical powder diffraction line list in this record (a wavelength of 1.5418 Å).

Atomic structure:
Unit cell a=8.569 b=8.569 c=8.569 alpha=109.47 beta=109.47 gamma=109.47
Atoms (fractional coordinates):
Be: 0.250 0.500 0.750
Be: 0.250 0.750 0.500
Be: 0.500 0.250 0.750
Be: 0.500 0.750 0.250
Be: 0.750 0.250 0.500
Be: 0.750 0.500 0.250
Cl: 0.000 0.259 0.530
Cl: 0.000 0.530 0.259
Cl: 0.259 0.000 0.530
Cl: 0.259 0.530 0.000
Cl: 0.270 0.741 0.741
Cl: 0.470 0.470 0.730
Cl: 0.470 0.730 0.470
Cl: 0.530 0.000 0.259
Cl: 0.530 0.259 0.000
Cl: 0.730 0.470 0.470
Cl: 0.741 0.270 0.741
Cl: 0.741 0.741 0.270

Top 10 peaks for 2θ = 10–90°, sorted by position:
two_theta  Rel. int.
12.65  954
22.01  244
31.32  1000
33.90  230
36.32  376
38.61  102
42.87  83
46.82  129
52.30  290
62.24  247